Starting from a PBE-relaxed structure, the X-ray powder pattern of DyZn9Co2 was computed for Cu Ka.
No peak broadening, texture or thermal motion is included.

Principal peaks in the range 2θ = 15–90°, low angle first:
h k l	two_theta	intensity
1 1 2	29.13	25
3 2 1	34.02	33
3 1 2	38.35	100
4 2 0	39.03	68
1 0 3	41.03	31
5 0 1	45.98	42
4 2 2	47.73	27
5 5 2	70.26	26

Structural model:
```
data_DyZn9Co2
_cell_length_a 10.320
_cell_length_b 10.320
_cell_length_c 6.755
_cell_angle_alpha 90.00
_cell_angle_beta 90.00
_cell_angle_gamma 90.00
_symmetry_space_group_name_H-M 'I 41/a m d'
_symmetry_Int_Tables_number 141
loop_
_symmetry_equiv_pos_as_xyz
'x,y,z'
'-x,-y,-z'
'-y+1/4,x+3/4,z+1/4'
'y+1/4,-x+3/4,-z+1/4'
'-x+1/2,-y,z+1/2'
'x+1/2,y,-z+1/2'
'y+1/4,-x+1/4,z+3/4'
'-y+1/4,x+1/4,-z+3/4'
'x,-y,-z'
'-x,y,z'
'-y+1/4,-x+1/4,-z+3/4'
'y+1/4,x+1/4,z+3/4'
'-x+1/2,y,-z+1/2'
'x+1/2,-y,z+1/2'
'y+1/4,x+3/4,-z+1/4'
'-y+1/4,-x+3/4,z+1/4'
'x+1/2,y+1/2,z+1/2'
'-x+1/2,-y+1/2,-z+1/2'
'-y+3/4,x+1/4,z+3/4'
'y+3/4,-x+1/4,-z+3/4'
'-x,-y+1/2,z'
'x,y+1/2,-z'
'y+3/4,-x+3/4,z+1/4'
'-y+3/4,x+3/4,-z+1/4'
'x+1/2,-y+1/2,-z+1/2'
'-x+1/2,y+1/2,z+1/2'
'-y+3/4,-x+3/4,-z+1/4'
'y+3/4,x+3/4,z+1/4'
'-x,y+1/2,-z'
'x,-y+1/2,z'
'y+3/4,x+1/4,-z+3/4'
'-y+3/4,-x+1/4,z+3/4'
loop_
_atom_site_label
_atom_site_fract_x
_atom_site_fract_y
_atom_site_fract_z
_atom_site_occupancy
Dy1 0.000 0.250 0.375 1
Zn1 0.000 0.250 0.875 1
Zn2 0.121 0.046 0.686 1
Co1 0.000 0.000 0.000 1
```